Theoretical PXRD pattern
Compound: Na2Ti3CrP6O24
Radiation: a wavelength of 1.5418 Å
Structure: a GGA+U-relaxed structure
Intensities are scaled so that the largest is 1000.

Cell and atoms:
```
data_Na2Ti3CrP6O24
_chemical_formula_sum 'Na6 Ti9 Cr3 P18 O72'
_symmetry_space_group_name_H-M 'R 3'
_symmetry_Int_Tables_number 146
_symmetry_space_group_name_Hall 'R 3'
_cell_length_a 8.6046
_cell_length_b 8.6046
_cell_length_c 22.0179
_cell_angle_alpha 90.00
_cell_angle_beta 90.00
_cell_angle_gamma 120.00
loop_
_atom_site_label
_atom_site_type_symbol
_atom_site_fract_x
_atom_site_fract_y
_atom_site_fract_z
_atom_site_occupancy
Na1 Na 0.0000 0.0000 0.0000 1
Na2 Na 0.0000 0.0000 0.4995 1
Ti1 Ti 0.0000 0.0000 0.3537 1
Ti2 Ti 0.0000 0.0000 0.6446 1
Ti3 Ti 0.0000 0.0000 0.8547 1
Cr1 Cr 0.0000 0.0000 0.1438 1
P1 P 0.0008 0.7142 0.2484 1
P2 P 0.0015 0.2893 0.7497 1
O1 O 0.0179 0.1946 0.6924 1
O2 O 0.0241 0.1905 0.4121 1
O3 O 0.0276 0.8236 0.1906 1
O4 O 0.0297 0.8363 0.9115 1
O5 O 0.1569 0.4704 0.4736 1
O6 O 0.1582 0.6857 0.9728 1
O7 O 0.1661 0.6892 0.2544 1
O8 O 0.1707 0.4758 0.7522 1
```

Principal peaks in the range 2θ from 5° to 70°, sorted by position:
2θ (°), I (rel.)
14.4, 140
20.1, 238
20.6, 358
24.0, 1000
28.9, 236
32.1, 604
36.2, 167
46.1, 141
49.1, 164
52.8, 81
56.6, 131
62.5, 75